Theoretical powder X-ray diffraction pattern of PuTlAg2F8 for Cu Kα (λ = 1.5418 Å), from a structure optimized by DFT (GGA-PBE).
Neutral-atom scattering factors, no anomalous dispersion.

Crystal structure
```
data_PuTlAg2F8
_chemical_formula_sum 'Pu1 Tl1 Ag2 F8'
_symmetry_space_group_name_H-M 'P 1'
_symmetry_Int_Tables_number 1
_cell_length_a 5.4175
_cell_length_b 5.4175
_cell_length_c 8.8668
_cell_angle_alpha 90.00
_cell_angle_beta 90.00
_cell_angle_gamma 120.00
loop_
_symmetry_equiv_pos_as_xyz
'x,y,z'
loop_
_atom_site_label
_atom_site_fract_x
_atom_site_fract_y
_atom_site_fract_z
Pu1 0.0000 0.0000 0.0000
Tl1 0.0000 0.0000 0.5000
Ag1 0.3333 0.6667 0.7083
Ag2 0.6667 0.3333 0.2917
F1 0.1701 0.3401 0.1479
F2 0.1701 0.8299 0.1479
F3 0.3333 0.6667 0.4689
F4 0.3401 0.1701 0.8521
F5 0.6599 0.8299 0.1479
F6 0.6667 0.3333 0.5311
F7 0.8299 0.1701 0.8521
F8 0.8299 0.6599 0.8521
```

Peak list (6 most intense, 2θ = 10–80°, in order of rising 2θ)
| h k l | 2θ/deg | d (Å) | I/Imax |
| --- | --- | --- | --- |
| 1 0 0 | 18.9 | 4.692 | 45 |
| 1 0 1 | 21.4 | 4.147 | 22 |
| 0 1 2 | 27.7 | 3.222 | 100 |
| 1 1 0 | 33.1 | 2.709 | 51 |
| 0 2 2 | 43.7 | 2.073 | 31 |
| 1 2 2 | 55.8 | 1.646 | 29 |